Starting from a DFT-relaxed cell (PBE, the Materials Project), the X-ray diffraction stick pattern of BaDy2PdO5 was simulated for Cu Kα (weighted mean of Kα1 and Kα2).

Principal peaks in the range 5° ≤ 2θ ≤ 70°, in order of falling intensity:
31.09°, intensity 100
34.01°, intensity 49
30.17°, intensity 42
43.34°, intensity 37
38.70°, intensity 22
54.17°, intensity 21
49.84°, intensity 20
30.37°, intensity 20
60.02°, intensity 13
56.09°, intensity 13

```
BaDy2PdO5
1.0
6.581 0.000 0.000
0.000 6.581 0.000
0.000 0.000 5.924
Ba Dy Pd O
2 4 2 10
Cartesian
0.000 0.000 0.000
3.291 3.291 0.000
1.146 2.145 2.962
2.145 5.435 2.962
4.437 1.146 2.962
5.435 4.437 2.962
0.000 3.291 0.000
3.291 0.000 0.000
0.000 0.000 2.962
0.925 4.216 1.542
0.925 4.216 4.382
2.366 0.925 1.542
2.366 0.925 4.382
3.291 3.291 2.962
4.216 5.656 1.542
4.216 5.656 4.382
5.656 2.366 1.542
5.656 2.366 4.382
```

Starting from a DFT-relaxed cell (PBE, the Materials Project), the X-ray diffraction stick pattern of BaPrDySnO6 was simulated for Cu Kα (weighted mean of Kα1 and Kα2).

Principal peaks in the range 5° ≤ 2θ ≤ 70°, in order of falling intensity:
29.74°, intensity 100
52.78°, intensity 41
42.56°, intensity 29
61.76°, intensity 19
36.64°, intensity 1
18.08°, intensity 1
20.91°, intensity 1
35.03°, intensity 1

```
BaPrDySnO6
1.0
0.000 4.248 4.248
4.248 0.000 4.248
4.248 4.248 0.000
Ba Pr Dy Sn O
1 1 1 1 6
Cartesian
0.000 0.000 0.000
4.248 4.248 4.248
6.373 6.373 6.373
2.124 2.124 2.124
2.124 2.124 0.068
2.124 0.068 2.124
4.180 2.124 2.124
0.068 2.124 2.124
2.124 4.180 2.124
2.124 2.124 4.180
```

Starting from a DFT-relaxed cell (PBE, the Materials Project), the X-ray diffraction stick pattern of BaPrDyTiO6 was simulated for Cu Kα (weighted mean of Kα1 and Kα2).

Principal peaks in the range 5° ≤ 2θ ≤ 70°, in order of falling intensity:
30.30°, intensity 100
53.84°, intensity 40
43.39°, intensity 30
63.04°, intensity 19
18.42°, intensity 11
35.70°, intensity 9
37.34°, intensity 5
47.51°, intensity 5
57.40°, intensity 3
66.29°, intensity 3

```
BaPrDyTiO6
1.0
0.000 4.171 4.171
4.171 0.000 4.171
4.171 4.171 0.000
Ba Pr Dy Ti O
1 1 1 1 6
Cartesian
0.000 0.000 0.000
4.171 4.171 4.171
2.085 2.085 2.085
6.256 6.256 6.256
6.256 6.256 4.291
6.256 4.291 6.256
8.222 6.256 6.256
4.291 6.256 6.256
6.256 8.222 6.256
6.256 6.256 8.222
```

Starting from a DFT-relaxed cell (PBE, the Materials Project), the X-ray diffraction stick pattern of Ba8Dy3Pt4O18 was simulated for Cu Kα (weighted mean of Kα1 and Kα2).

Principal peaks in the range 5° ≤ 2θ ≤ 70°, in order of falling intensity:
29.77°, intensity 100
52.84°, intensity 39
42.60°, intensity 25
61.83°, intensity 16
10.42°, intensity 13
18.10°, intensity 4
38.23°, intensity 4
14.76°, intensity 4
58.56°, intensity 3
20.93°, intensity 2

```
Ba8Dy3Pt4O18
1.0
8.489 0.000 0.000
0.000 8.489 0.000
0.000 0.000 8.489
Ba Dy Pt O
8 3 4 18
Cartesian
2.007 2.007 2.007
2.007 2.007 6.482
2.007 6.482 2.007
2.007 6.482 6.482
6.482 2.007 2.007
6.482 2.007 6.482
6.482 6.482 2.007
6.482 6.482 6.482
0.000 0.000 4.244
0.000 4.244 0.000
4.244 0.000 0.000
0.000 0.000 0.000
0.000 4.244 4.244
4.244 0.000 4.244
4.244 4.244 0.000
0.000 0.000 2.025
0.000 0.000 6.463
0.000 2.025 0.000
0.000 2.222 4.244
0.000 4.244 2.222
0.000 4.244 6.267
0.000 6.267 4.244
0.000 6.463 0.000
2.025 0.000 0.000
2.222 0.000 4.244
2.222 4.244 0.000
4.244 0.000 2.222
4.244 0.000 6.267
4.244 2.222 0.000
4.244 6.267 0.000
6.267 0.000 4.244
6.267 4.244 0.000
6.463 0.000 0.000
```

Starting from a DFT-relaxed cell (PBE, the Materials Project), the X-ray diffraction stick pattern of Ba2DySbO6 was simulated for Cu Kα (weighted mean of Kα1 and Kα2).

Principal peaks in the range 5° ≤ 2θ ≤ 70°, in order of falling intensity:
29.64°, intensity 100
52.60°, intensity 41
42.42°, intensity 29
61.55°, intensity 18
69.78°, intensity 18
20.84°, intensity 1
36.52°, intensity 1
34.91°, intensity 1
18.03°, intensity 1
46.44°, intensity 1

```
Ba2DySbO6
1.0
0.000 4.262 4.262
4.262 0.000 4.262
4.262 4.262 0.000
Ba Dy Sb O
2 1 1 6
Cartesian
2.131 2.131 2.131
6.393 6.393 6.393
0.000 0.000 0.000
4.262 4.262 4.262
4.262 4.262 2.243
4.262 2.243 4.262
6.281 4.262 4.262
2.243 4.262 4.262
4.262 6.281 4.262
4.262 4.262 6.281
```

Starting from a DFT-relaxed cell (PBE, the Materials Project), the X-ray diffraction stick pattern of Ba2DySbO6 was simulated for Cu Kα (weighted mean of Kα1 and Kα2).

Principal peaks in the range 5° ≤ 2θ ≤ 70°, in order of falling intensity:
29.66°, intensity 100
52.64°, intensity 41
42.45°, intensity 29
61.59°, intensity 18
69.83°, intensity 18
20.86°, intensity 1
36.54°, intensity 1
34.93°, intensity 1
18.04°, intensity 1
46.47°, intensity 1

```
Ba2DySbO6
1.0
8.518 0.000 0.000
0.000 8.518 0.000
0.000 0.000 8.518
Ba Dy Sb O
8 4 4 24
Cartesian
2.130 2.130 2.130
2.130 2.130 6.389
2.130 6.389 2.130
2.130 6.389 6.389
6.389 2.130 2.130
6.389 2.130 6.389
6.389 6.389 2.130
6.389 6.389 6.389
0.000 0.000 0.000
0.000 4.259 4.259
4.259 0.000 4.259
4.259 4.259 0.000
0.000 0.000 4.259
0.000 4.259 0.000
4.259 0.000 0.000
4.259 4.259 4.259
0.085 2.016 4.341
0.085 2.243 8.437
0.082 4.344 6.502
0.082 8.433 6.275
2.016 4.341 0.085
2.016 8.437 4.174
2.243 4.341 4.174
2.243 8.437 0.085
4.174 2.016 8.437
4.174 2.243 4.341
4.178 4.344 6.275
4.178 8.433 6.502
4.341 0.085 2.016
4.341 4.174 2.243
4.344 6.275 4.178
4.344 6.502 0.082
6.275 0.082 8.433
6.275 4.178 4.344
6.502 0.082 4.344
6.502 4.178 8.433
8.437 0.085 2.243
8.437 4.174 2.016
8.433 6.275 0.082
8.433 6.502 4.178
```

Starting from a DFT-relaxed cell (PBE, the Materials Project), the X-ray diffraction stick pattern of BaSrDySbO6 was simulated for Cu Kα (weighted mean of Kα1 and Kα2).

Principal peaks in the range 5° ≤ 2θ ≤ 70°, in order of falling intensity:
29.96°, intensity 100
53.18°, intensity 33
42.96°, intensity 23
30.08°, intensity 20
62.26°, intensity 17
53.34°, intensity 17
42.82°, intensity 11
21.08°, intensity 6
62.53°, intensity 3
48.23°, intensity 2

```
BaSrDySbO6
1.0
5.962 0.000 0.000
-0.023 5.962 0.000
-0.026 -0.024 8.427
Ba Sr Dy Sb O
2 2 2 2 12
Cartesian
0.098 0.019 2.105
5.815 5.919 6.322
2.812 2.982 6.314
3.101 2.956 2.113
-0.012 2.981 0.000
2.968 -0.012 4.214
-0.025 2.969 4.214
2.981 0.000 0.000
0.059 2.676 6.206
1.249 4.509 4.446
1.387 4.670 8.183
1.581 1.755 3.963
1.747 1.584 0.265
2.930 5.578 1.988
2.982 0.360 6.439
4.165 4.354 8.162
4.331 4.183 4.464
4.526 1.268 0.244
4.663 1.429 3.981
5.853 3.262 2.221
```

Starting from a DFT-relaxed cell (PBE, the Materials Project), the X-ray diffraction stick pattern of BaSrDySbO6 was simulated for Cu Kα (weighted mean of Kα1 and Kα2).

Principal peaks in the range 5° ≤ 2θ ≤ 70°, in order of falling intensity:
29.99°, intensity 100
53.25°, intensity 42
42.92°, intensity 29
62.32°, intensity 17
21.08°, intensity 5
48.29°, intensity 2
35.32°, intensity 1
18.23°, intensity 1
23.60°, intensity 1
47.00°, intensity 1

```
BaSrDySbO6
1.0
8.419 0.000 0.000
0.000 8.428 0.000
0.000 0.000 8.437
Ba Sr Dy Sb O
4 4 4 4 24
Cartesian
0.000 0.000 0.000
0.000 0.000 4.218
0.000 4.214 0.000
4.210 4.214 0.000
0.000 4.214 4.218
4.210 0.000 0.000
4.210 0.000 4.218
4.210 4.214 4.218
2.120 2.112 2.131
2.120 6.316 6.306
6.299 2.112 6.306
6.299 6.316 2.131
2.127 2.115 6.296
2.127 6.312 2.141
6.292 2.115 2.141
6.292 6.312 6.296
0.123 1.931 6.485
0.123 6.497 1.952
1.871 2.344 4.318
1.871 6.084 4.119
1.952 4.107 6.502
1.952 4.321 1.935
2.353 0.118 6.077
2.360 1.886 8.305
2.360 6.542 0.132
2.353 8.310 2.360
4.108 2.339 6.056
4.108 6.089 2.381
4.312 2.339 2.381
4.312 6.089 6.056
6.066 0.118 2.360
6.060 1.886 0.132
6.060 6.542 8.305
6.066 8.310 6.077
6.467 4.107 1.935
6.467 4.321 6.502
6.548 2.344 4.119
6.548 6.084 4.318
8.296 1.931 1.952
8.296 6.497 6.485
```